No. 1
Theoretical X-ray powder pattern of Th4Ga12Ni for Cu Kα, from a GGA-PBE-relaxed structure.
No peak broadening, texture or thermal motion is included.

Main lines, by angle (10° ≤ 2θ ≤ 90°):
- 20.08°, intensity 28, hkl 2 0 0
- 28.55°, intensity 46, hkl 2 2 0
- 35.16°, intensity 100, hkl 2 2 2
- 40.82°, intensity 57, hkl 4 0 0
- 45.90°, intensity 19, hkl 4 2 0
- 50.57°, intensity 16, hkl 4 2 2
- 59.10°, intensity 35, hkl 4 4 0
- 66.92°, intensity 12, hkl 6 2 0
- 70.66°, intensity 34, hkl 6 2 2
- 81.45°, intensity 12, hkl 6 4 2

Structural model:
a = 8.8427 Å, b = 8.8427 Å, c = 8.8427 Å
α = 90.00°, β = 90.00°, γ = 90.00°
Space group Im-3m (No. 229)
Unique sites:
1 Th 0.2500 0.2500 0.2500 (multiplicity 8)
2 Ga 0.0000 0.0000 0.2920 (multiplicity 12)
3 Ga 0.0000 0.2500 0.5000 (multiplicity 12)
4 Ni 0.0000 0.0000 0.0000 (multiplicity 2)



No. 2
Theoretical X-ray powder pattern of Th3GaNi for Cu Kα, from a GGA-PBE-relaxed structure.
No peak broadening, texture or thermal motion is included.

Main lines, by angle (10° ≤ 2θ ≤ 90°):
- 22.38°, intensity 18, hkl 1 1 1
- 29.24°, intensity 89, hkl 2 0 1
- 30.93°, intensity 100, hkl 0 4 1
- 33.81°, intensity 82, hkl 2 4 0
- 34.86°, intensity 21, hkl 3 1 0
- 36.97°, intensity 42, hkl 0 0 2
- 50.78°, intensity 22, hkl 0 8 0
- 50.96°, intensity 52, hkl 2 4 2
- 56.70°, intensity 18, hkl 4 4 1
- 59.68°, intensity 29, hkl 2 8 1

Structural model:
a = 7.8484 Å, b = 14.3825 Å, c = 4.8628 Å
α = 90.00°, β = 90.00°, γ = 90.00°
Space group Cmmm (No. 65)
Unique sites:
1 Th 0.0000 0.1254 0.0000 (multiplicity 4)
2 Th 0.1870 0.5000 0.5000 (multiplicity 4)
3 Th 0.2500 0.2500 0.5000 (multiplicity 4)
4 Ga 0.0000 0.3560 0.0000 (multiplicity 4)
5 Ni 0.0000 0.0871 0.5000 (multiplicity 4)



No. 3
Theoretical X-ray powder pattern of ThGa2Ni8 for Cu Kα, from a GGA-PBE-relaxed structure.
No peak broadening, texture or thermal motion is included.

Main lines, by angle (10° ≤ 2θ ≤ 90°):
- 23.78°, intensity 50, hkl 1 0 1
- 28.30°, intensity 98, hkl 1 1 1
- 34.23°, intensity 53, hkl 2 1 0
- 39.06°, intensity 31, hkl 2 1 1
- 40.15°, intensity 40, hkl 1 0 2
- 43.72°, intensity 57, hkl 2 2 0
- 46.52°, intensity 36, hkl 3 0 0
- 48.67°, intensity 100, hkl 2 0 2
- 52.90°, intensity 34, hkl 3 1 1
- 69.60°, intensity 32, hkl 3 2 2

Structural model:
a = 5.8568 Å, b = 5.8568 Å, c = 4.8640 Å
α = 90.00°, β = 90.00°, γ = 90.00°
Space group P4/mmm (No. 123)
Unique sites:
1 Th 0.0000 0.0000 0.0000 (multiplicity 1)
2 Ga 0.0000 0.5000 0.5000 (multiplicity 2)
3 Ni 0.2981 0.2981 0.2438 (multiplicity 8)



No. 4
Theoretical X-ray powder pattern of Th3Ga2Ni6 for Cu Kα, from a GGA-PBE-relaxed structure.
No peak broadening, texture or thermal motion is included.

Main lines, by angle (10° ≤ 2θ ≤ 90°):
- 24.01°, intensity 42, hkl 2 1 1
- 31.15°, intensity 51, hkl 3 1 0
- 34.21°, intensity 60, hkl 2 2 2
- 37.05°, intensity 26, hkl 3 2 1
- 39.71°, intensity 33, hkl 4 0 0
- 42.23°, intensity 100, hkl 3 3 0
- 55.43°, intensity 32, hkl 5 2 1
- 63.13°, intensity 20, hkl 5 3 2
- 68.56°, intensity 23, hkl 6 2 2
- 77.21°, intensity 30, hkl 6 3 3

Structural model:
a = 9.0791 Å, b = 9.0791 Å, c = 9.0791 Å
α = 90.00°, β = 90.00°, γ = 90.00°
Space group Im-3m (No. 229)
Unique sites:
1 Th 0.0000 0.0000 0.2889 (multiplicity 12)
2 Ga 0.2500 0.2500 0.2500 (multiplicity 8)
3 Ni 0.0000 0.3381 0.3381 (multiplicity 24)



No. 5
Theoretical X-ray powder pattern of ThGa8Ni4 for Cu Kα, from a GGA-PBE-relaxed structure.
No peak broadening, texture or thermal motion is included.

Main lines, by angle (10° ≤ 2θ ≤ 90°):
- 28.65°, intensity 38, hkl 2 1 1
- 34.61°, intensity 22, hkl 0 0 2
- 35.41°, intensity 53, hkl 3 0 1
- 40.49°, intensity 66, hkl 2 0 2
- 41.20°, intensity 100, hkl 3 2 1
- 41.43°, intensity 54, hkl 4 0 0
- 45.74°, intensity 22, hkl 2 2 2
- 66.51°, intensity 24, hkl 3 2 3
- 74.92°, intensity 21, hkl 6 0 2
- 75.40°, intensity 24, hkl 6 3 1

Structural model:
a = 8.7181 Å, b = 8.7181 Å, c = 5.1839 Å
α = 90.00°, β = 90.00°, γ = 90.00°
Space group I4/mmm (No. 139)
Unique sites:
1 Th 0.0000 0.0000 0.0000 (multiplicity 2)
2 Ga 0.0000 0.2226 0.5000 (multiplicity 8)
3 Ga 0.0000 0.3470 0.0000 (multiplicity 8)
4 Ni 0.2500 0.2500 0.2500 (multiplicity 8)



No. 6
Theoretical X-ray powder pattern of Th2Ga3Ni for Cu Kα, from a GGA-PBE-relaxed structure.
No peak broadening, texture or thermal motion is included.

Main lines, by angle (10° ≤ 2θ ≤ 90°):
- 23.93°, intensity 28, hkl 0 2 2
- 32.68°, intensity 100, hkl 2 0 4
- 42.02°, intensity 13, hkl 0 4 0
- 42.13°, intensity 26, hkl 0 2 6
- 44.69°, intensity 11, hkl 4 0 0
- 54.24°, intensity 16, hkl 2 4 4
- 54.36°, intensity 8, hkl 2 0 8
- 63.07°, intensity 23, hkl 4 4 0
- 71.04°, intensity 14, hkl 2 2 10
- 74.72°, intensity 9, hkl 6 0 4

Structural model:
a = 8.1112 Å, b = 8.6002 Å, c = 14.8473 Å
α = 90.00°, β = 90.00°, γ = 90.00°
Space group Fmmm (No. 69)
Unique sites:
1 Th 0.2394 0.0000 0.0000 (multiplicity 8)
2 Th 0.2500 0.2500 0.2500 (multiplicity 8)
3 Ga 0.0000 0.0000 0.3307 (multiplicity 8)
4 Ga 0.0000 0.2485 0.0848 (multiplicity 16)
5 Ni 0.0000 0.0000 0.1668 (multiplicity 8)



No. 7
Theoretical X-ray powder pattern of Th3Ga4Ni4 for Cu Kα, from a GGA-PBE-relaxed structure.
No peak broadening, texture or thermal motion is included.

Main lines, by angle (10° ≤ 2θ ≤ 90°):
- 23.20°, intensity 38, hkl 0 1 3
- 31.29°, intensity 37, hkl 1 1 2
- 33.90°, intensity 100, hkl 1 1 4
- 34.40°, intensity 66, hkl 1 0 7
- 39.47°, intensity 33, hkl 0 1 9
- 41.40°, intensity 35, hkl 0 2 0
- 45.50°, intensity 27, hkl 2 0 0
- 54.89°, intensity 35, hkl 1 2 7
- 63.19°, intensity 20, hkl 2 2 0
- 70.73°, intensity 25, hkl 1 2 13

Structural model:
a = 3.9868 Å, b = 4.3619 Å, c = 24.1155 Å
α = 90.00°, β = 90.00°, γ = 90.00°
Space group Immm (No. 71)
Unique sites:
1 Th 0.0000 0.0000 0.0000 (multiplicity 2)
2 Th 0.0000 0.5000 0.1532 (multiplicity 4)
3 Ga 0.0000 0.0000 0.4470 (multiplicity 4)
4 Ga 0.0000 0.5000 0.3019 (multiplicity 4)
5 Ni 0.0000 0.0000 0.2536 (multiplicity 4)
6 Ni 0.0000 0.5000 0.4039 (multiplicity 4)



No. 8
Theoretical X-ray powder pattern of Th4GaNi for Cu Kα, from a GGA-PBE-relaxed structure.
No peak broadening, texture or thermal motion is included.

Main lines, by angle (10° ≤ 2θ ≤ 90°):
- 31.10°, intensity 16, hkl 0 0 2
- 31.30°, intensity 100, hkl 2 1 1
- 35.67°, intensity 12, hkl 1 1 2
- 38.66°, intensity 23, hkl 3 1 0
- 39.77°, intensity 16, hkl 2 0 2
- 53.74°, intensity 17, hkl 4 1 1
- 55.46°, intensity 21, hkl 2 1 3
- 59.63°, intensity 8, hkl 4 0 2
- 62.50°, intensity 16, hkl 3 3 2
- 70.83°, intensity 11, hkl 5 2 1

Structural model:
a = 7.3642 Å, b = 7.3642 Å, c = 5.7510 Å
α = 90.00°, β = 90.00°, γ = 90.00°
Space group P4/mcc (No. 124)
Unique sites:
1 Th 0.1530 0.3302 0.0000 (multiplicity 8)
2 Ga 0.5000 0.5000 0.2500 (multiplicity 2)
3 Ni 0.0000 0.0000 0.2500 (multiplicity 2)



No. 9
Theoretical X-ray powder pattern of TmThGa2Ni2 for Cu Kα, from a GGA-PBE-relaxed structure.
No peak broadening, texture or thermal motion is included.

Main lines, by angle (10° ≤ 2θ ≤ 90°):
- 23.85°, intensity 29, hkl 1 0 0
- 34.87°, intensity 100, hkl 1 0 2
- 41.94°, intensity 49, hkl 1 1 0
- 51.44°, intensity 8, hkl 0 0 4
- 55.65°, intensity 26, hkl 0 2 2
- 57.46°, intensity 7, hkl 0 1 4
- 68.46°, intensity 20, hkl 1 1 4
- 72.06°, intensity 24, hkl 2 1 2
- 76.62°, intensity 8, hkl 3 0 0
- 86.16°, intensity 7, hkl 1 0 6

Structural model:
a = 4.3078 Å, b = 4.3078 Å, c = 7.1055 Å
α = 90.00°, β = 90.00°, γ = 120.00°
Space group P-3m1 (No. 164)
Unique sites:
1 Tm 0.0000 0.0000 0.0000 (multiplicity 1)
2 Th 0.0000 0.0000 0.5000 (multiplicity 1)
3 Ga 0.3333 0.6667 0.7736 (multiplicity 2)
4 Ni 0.3333 0.6667 0.2354 (multiplicity 2)



No. 10
Theoretical X-ray powder pattern of Ti2GaNi for Cu Kα, from a GGA-PBE-relaxed structure.
No peak broadening, texture or thermal motion is included.

Main lines, by angle (10° ≤ 2θ ≤ 90°):
- 24.35°, intensity 4, hkl 0 0 2
- 31.61°, intensity 4, hkl 1 0 0
- 40.30°, intensity 100, hkl 1 0 2
- 45.31°, intensity 36, hkl 1 1 0
- 49.90°, intensity 12, hkl 0 0 4
- 52.10°, intensity 2, hkl 1 1 2
- 66.01°, intensity 11, hkl 2 0 0
- 69.67°, intensity 16, hkl 1 1 4
- 80.26°, intensity 23, hkl 2 1 2
- 87.09°, intensity 17, hkl 2 0 4

Structural model:
a = 2.8305 Å, b = 2.8305 Å, c = 7.3104 Å
α = 90.00°, β = 90.00°, γ = 90.00°
Space group P4/mmm (No. 123)
Unique sites:
1 Ti 0.0000 0.0000 0.2309 (multiplicity 2)
2 Ga 0.5000 0.5000 0.5000 (multiplicity 1)
3 Ni 0.5000 0.5000 0.0000 (multiplicity 1)



No. 11
Theoretical X-ray powder pattern of Ti3GaNi5 for Cu Kα, from a GGA-PBE-relaxed structure.
No peak broadening, texture or thermal motion is included.

Main lines, by angle (10° ≤ 2θ ≤ 90°):
- 36.23°, intensity 76, hkl 2 2 0
- 39.41°, intensity 52, hkl 2 1 3
- 40.67°, intensity 19, hkl 3 1 0
- 44.45°, intensity 100, hkl 2 0 4
- 44.69°, intensity 20, hkl 3 1 2
- 47.63°, intensity 17, hkl 3 2 1
- 54.32°, intensity 11, hkl 2 1 5
- 54.75°, intensity 16, hkl 4 1 1
- 61.15°, intensity 13, hkl 4 1 3
- 70.91°, intensity 19, hkl 4 2 4

Structural model:
a = 7.0121 Å, b = 7.0121 Å, c = 10.0207 Å
α = 90.00°, β = 90.00°, γ = 90.00°
Space group I4/mcm (No. 140)
Unique sites:
1 Ti 0.0000 0.0000 0.2500 (multiplicity 4)
2 Ti 0.1195 0.3805 0.0000 (multiplicity 8)
3 Ga 0.0000 0.5000 0.2500 (multiplicity 4)
4 Ni 0.0000 0.0000 0.0000 (multiplicity 4)
5 Ni 0.2043 0.2957 0.3669 (multiplicity 16)



No. 12
Theoretical X-ray powder pattern of Ti4Ga3Ni for Cu Kα, from a GGA-PBE-relaxed structure.
No peak broadening, texture or thermal motion is included.

Main lines, by angle (10° ≤ 2θ ≤ 90°):
- 30.35°, intensity 25, hkl 1 0 1
- 35.47°, intensity 14, hkl 0 0 4
- 37.87°, intensity 100, hkl 1 1 1
- 39.63°, intensity 25, hkl 1 0 3
- 42.20°, intensity 74, hkl 0 1 4
- 45.10°, intensity 39, hkl 0 2 0
- 45.84°, intensity 58, hkl 1 1 3
- 54.23°, intensity 16, hkl 1 0 5
- 60.11°, intensity 16, hkl 2 0 0
- 76.17°, intensity 23, hkl 2 1 4

Structural model:
a = 3.0783 Å, b = 4.0206 Å, c = 10.1225 Å
α = 90.00°, β = 90.00°, γ = 90.00°
Space group Pmm2 (No. 25)
Unique sites:
1 Ti 0.0000 0.0000 0.0000 (multiplicity 1)
2 Ti 0.0000 0.5000 0.3101 (multiplicity 1)
3 Ti 0.5000 0.0000 0.4798 (multiplicity 1)
4 Ti 0.5000 0.5000 0.8232 (multiplicity 1)
5 Ga 0.0000 0.0000 0.7336 (multiplicity 1)
6 Ga 0.0000 0.5000 0.5762 (multiplicity 1)
7 Ga 0.5000 0.5000 0.0866 (multiplicity 1)
8 Ni 0.5000 0.0000 0.2349 (multiplicity 1)



No. 13
Theoretical X-ray powder pattern of TiGaNi5 for Cu Kα, from a GGA-PBE-relaxed structure.
No peak broadening, texture or thermal motion is included.

Main lines, by angle (10° ≤ 2θ ≤ 90°):
- 16.62°, intensity 13, hkl 0 0 1
- 27.34°, intensity 7, hkl 1 0 1
- 30.68°, intensity 5, hkl 1 1 0
- 35.08°, intensity 10, hkl 1 1 1
- 43.93°, intensity 58, hkl 2 0 0
- 46.13°, intensity 100, hkl 1 1 2
- 63.88°, intensity 18, hkl 2 2 0
- 70.62°, intensity 6, hkl 0 0 4
- 82.34°, intensity 32, hkl 3 1 2
- 87.02°, intensity 14, hkl 2 0 4

Structural model:
a = 4.1217 Å, b = 4.1217 Å, c = 5.3353 Å
α = 90.00°, β = 90.00°, γ = 90.00°
Space group P4/mmm (No. 123)
Unique sites:
1 Ti 0.0000 0.0000 0.0000 (multiplicity 1)
2 Ga 0.5000 0.5000 0.5000 (multiplicity 1)
3 Ni 0.0000 0.0000 0.5000 (multiplicity 1)
4 Ni 0.0000 0.5000 0.2474 (multiplicity 4)